(1)
Structure and computed powder X-ray diffraction pattern of NaLi11 (a crystal structure in Alexandria, relaxed with PBE; Cu Kα (λ = 1.5418 Å)).
Peak positions follow from Bragg's law for the DFT cell and can differ from measured ones.

Structure:
abc: 9.9780 9.9780 2.9973
angles: 90.00 90.00 120.00
Space group P6/mmm (No. 191)
Inequivalent atoms, fractional coordinates:
Na 0.0000 0.0000 0.0000 [1 per cell]
Li 0.0000 0.5000 0.0000 [3 per cell]
Li 0.1781 0.3562 0.5000 [6 per cell]
Li 0.3333 0.6667 0.0000 [2 per cell]

Principal peaks in the range 2θ from 10° to 90°, by intensity:
2θ (°)  intensity  index
36.0  100  2 2 0
10.2  81  1 0 0
36.5  77  2 0 1
34.9  54  1 1 1
27.3  40  2 1 0
17.8  37  1 1 0
43.6  30  3 0 1
20.6  26  2 0 0
65.0  26  4 2 1
52.2  25  4 0 1



(2)
Structure and computed powder X-ray diffraction pattern of NaLi8 (a crystal structure in Alexandria, relaxed with PBE; Cu Kα (λ = 1.5418 Å)).
Peak positions follow from Bragg's law for the DFT cell and can differ from measured ones.

Structure:
abc: 9.263 9.263 4.582
angles: 90.00 90.00 90.00
Space group I4/mmm (No. 139)
Inequivalent atoms, fractional coordinates:
Na 0.000 0.000 0.000 [2 per cell]
Li 0.000 0.341 0.000 [8 per cell]
Li 0.173 0.173 0.500 [8 per cell]

Principal peaks in the range 2θ from 10° to 90°, by intensity:
2θ (°)  intensity  index
35.0  100  3 0 1
13.5  36  1 1 0
29.1  32  2 1 1
21.6  32  1 0 1
41.4  31  3 3 0
58.4  22  3 3 2
71.3  22  6 3 1
19.2  19  2 0 0
39.3  18  0 0 2
30.5  13  3 1 0



(3)
Structure and computed powder X-ray diffraction pattern of NaLi7 (a crystal structure in Alexandria, relaxed with PBE; Cu Kα (λ = 1.5418 Å)).
Peak positions follow from Bragg's law for the DFT cell and can differ from measured ones.

Structure:
abc: 4.544 4.544 17.138
angles: 90.00 90.00 90.00
Space group I4/mmm (No. 139)
Inequivalent atoms, fractional coordinates:
Na 0.000 0.000 0.000 [2 per cell]
Li 0.000 0.000 0.252 [4 per cell]
Li 0.000 0.000 0.500 [2 per cell]
Li 0.000 0.500 0.134 [8 per cell]

Principal peaks in the range 2θ from 10° to 90°, by intensity:
2θ (°)  intensity  index
34.9  100  1 1 4
20.2  42  1 0 1
39.7  35  2 0 0
10.3  33  0 0 2
25.0  26  1 0 3
68.9  25  3 1 4
29.7  21  1 1 2
59.3  19  2 0 8
42.2  14  0 0 8
32.7  12  1 0 5